1.
SrAcTlIn: simulated X-ray diffraction stick pattern (Cu Kα), based on a crystal structure in Alexandria, relaxed with GGA-PBE.
Peak positions follow from Bragg's law for the DFT cell and can differ from measured ones.

Most intense lines, 2θ = 5–70°, by angle:
d [Å], Rel. int.
8.292, 15
3.664, 12
2.910, 100
2.888, 49
2.073, 10
2.042, 18
1.684, 20
1.672, 39
1.455, 12
1.444, 6

Atomic structure:
Cell: 4.0847 4.0847 8.2921 Å, 90.00 90.00 90.00°
Atoms (fractional coordinates):
Sr: 0.0000 0.0000 0.0000
Ac: 0.0000 0.0000 0.5044
Tl: 0.5000 0.5000 0.2473
In: 0.5000 0.5000 0.7541

2.
Ac6TbIn5: simulated X-ray diffraction stick pattern (Cu Kα), based on a crystal structure in Alexandria, relaxed with GGA-PBE.
Peak positions follow from Bragg's law for the DFT cell and can differ from measured ones.

Most intense lines, 2θ = 5–70°, by angle:
d [Å], Rel. int.
2.980, 100
2.762, 20
2.735, 21
2.322, 12
1.943, 14
1.777, 10
1.770, 11
1.633, 15
1.622, 17
1.490, 11

Atomic structure:
Cell: 9.8834 9.8834 9.8834 Å, 147.88 123.96 66.08°
Atoms (fractional coordinates):
Ac: 0.0676 0.3281 0.7395
Ac: 0.2308 0.0000 0.2308
Ac: 0.4114 0.6719 0.7395
Ac: 0.5886 0.3281 0.2605
Ac: 0.7692 0.0000 0.7692
Ac: 0.9324 0.6719 0.2605
Tb: 0.5000 0.5000 0.0000
In: 0.0000 0.5000 0.5000
In: 0.1706 0.1706 0.0000
In: 0.3518 0.8518 0.5000
In: 0.6482 0.1482 0.5000
In: 0.8294 0.8294 0.0000

3.
AcTb4In4: simulated X-ray diffraction stick pattern (Cu Kα), based on a crystal structure in Alexandria, relaxed with GGA-PBE.
Peak positions follow from Bragg's law for the DFT cell and can differ from measured ones.

Most intense lines, 2θ = 5–70°, by angle:
d [Å], Rel. int.
3.478, 41
3.030, 100
2.944, 37
2.843, 68
2.815, 99
2.700, 25
2.445, 36
2.427, 91
1.523, 29
1.451, 28

Atomic structure:
Cell: 9.5816 9.5816 5.9547 Å, 90.00 90.00 90.00°
Atoms (fractional coordinates):
Ac: 0.2500 0.2500 0.2500
Ac: 0.7500 0.7500 0.7500
Tb: 0.0989 0.8280 0.6433
Tb: 0.1720 0.5989 0.1433
Tb: 0.3280 0.9011 0.1433
Tb: 0.4011 0.6720 0.6433
Tb: 0.5989 0.3280 0.3567
Tb: 0.6720 0.0989 0.8567
Tb: 0.8280 0.4011 0.8567
Tb: 0.9011 0.1720 0.3567
In: 0.0310 0.1364 0.8417
In: 0.1364 0.4690 0.6583
In: 0.3636 0.0310 0.6583
In: 0.4690 0.3636 0.8417
In: 0.5310 0.6364 0.1583
In: 0.6364 0.9690 0.3417
In: 0.8636 0.5310 0.3417
In: 0.9690 0.8636 0.1583

4.
Ac2Tb2In3: simulated X-ray diffraction stick pattern (Cu Kα), based on a crystal structure in Alexandria, relaxed with GGA-PBE.
Peak positions follow from Bragg's law for the DFT cell and can differ from measured ones.

Most intense lines, 2θ = 5–70°, by angle:
d [Å], Rel. int.
4.649, 16
2.924, 100
2.855, 95
2.780, 49
2.421, 19
2.363, 34
2.274, 20
1.809, 15
1.800, 28
1.538, 29

Atomic structure:
Cell: 4.7253 26.0596 3.6172 Å, 90.00 90.00 90.00°
Atoms (fractional coordinates):
Ac: 0.0000 0.0763 0.0000
Ac: 0.0000 0.9237 0.0000
Ac: 0.5000 0.4237 0.0000
Ac: 0.5000 0.5763 0.0000
Tb: 0.0000 0.2069 0.0000
Tb: 0.0000 0.7931 0.0000
Tb: 0.5000 0.2931 0.0000
Tb: 0.5000 0.7069 0.0000
In: 0.0000 0.3387 0.5000
In: 0.0000 0.5000 0.5000
In: 0.0000 0.6613 0.5000
In: 0.5000 0.0000 0.5000
In: 0.5000 0.1613 0.5000
In: 0.5000 0.8387 0.5000